The following is a simulated powder diffraction line list of TlSnAu3O4. It was derived from a crystal structure in OQMD, relaxed with GGA-PBE, using CuKα.
Kinematic intensities with the Lorentz-polarization factor, no thermal factor.

The 10 most intense peaks (10 to 90 degrees two-theta), sorted by position:
| d/Å | intensity |
| --- | --- |
| 3.845 | 8 |
| 3.139 | 100 |
| 2.719 | 81 |
| 1.922 | 79 |
| 1.639 | 46 |
| 1.570 | 22 |
| 1.359 | 13 |
| 1.247 | 19 |
| 1.216 | 30 |
| 1.110 | 28 |

Structure:
```
data_TlSnAu3O4
_chemical_formula_sum 'Tl1 Sn1 Au3 O4'
_cell_length_a 5.437
_cell_length_b 5.437
_cell_length_c 5.437
_cell_angle_alpha 90.00
_cell_angle_beta 90.00
_cell_angle_gamma 90.00
_space_group_name_H-M_alt 'P 1'
_space_group_IT_number 1
loop_
_space_group_symop_operation_xyz
'x,y,z'
loop_
_atom_site_label
_atom_site_type_symbol
_atom_site_fract_x
_atom_site_fract_y
_atom_site_fract_z
_atom_site_occupancy
Tl1 Tl 0.000 0.000 0.000 1
Sn1 Sn 0.500 0.500 0.500 1
Au1 Au 0.000 0.500 0.500 1
Au2 Au 0.500 0.000 0.500 1
Au3 Au 0.500 0.500 0.000 1
O1 O 0.236 0.236 0.236 1
O2 O 0.236 0.764 0.764 1
O3 O 0.764 0.236 0.764 1
O4 O 0.764 0.764 0.236 1
```

***

The following is a simulated powder diffraction line list of Sr2AuO4. It was derived from a crystal structure in OQMD, relaxed with GGA-PBE, using CuKα.
Kinematic intensities with the Lorentz-polarization factor, no thermal factor.

The 10 most intense peaks (10 to 90 degrees two-theta), sorted by position:
| d/Å | intensity |
| --- | --- |
| 3.479 | 56 |
| 2.967 | 100 |
| 2.009 | 25 |
| 1.894 | 36 |
| 1.740 | 37 |
| 1.556 | 11 |
| 1.501 | 13 |
| 1.315 | 13 |
| 1.281 | 23 |
| 1.136 | 13 |

Structure:
```
data_Sr2AuO4
_chemical_formula_sum 'Sr4 Au2 O8'
_cell_length_a 6.959
_cell_length_b 6.959
_cell_length_c 6.959
_cell_angle_alpha 60.00
_cell_angle_beta 60.00
_cell_angle_gamma 60.00
_space_group_name_H-M_alt 'P 1'
_space_group_IT_number 1
loop_
_space_group_symop_operation_xyz
'x,y,z'
loop_
_atom_site_label
_atom_site_type_symbol
_atom_site_fract_x
_atom_site_fract_y
_atom_site_fract_z
_atom_site_occupancy
Sr1 Sr 0.000 0.000 0.000 1
Sr2 Sr 0.000 0.000 0.500 1
Sr3 Sr 0.000 0.500 0.000 1
Sr4 Sr 0.500 0.000 0.000 1
Au1 Au 0.375 0.375 0.375 1
Au2 Au 0.625 0.625 0.625 1
O1 O 0.252 0.252 0.252 1
O2 O 0.252 0.252 0.745 1
O3 O 0.252 0.745 0.252 1
O4 O 0.255 0.748 0.748 1
O5 O 0.745 0.252 0.252 1
O6 O 0.748 0.255 0.748 1
O7 O 0.748 0.748 0.255 1
O8 O 0.748 0.748 0.748 1
```

***

The following is a simulated powder diffraction line list of TbTeAuO. It was derived from a crystal structure in OQMD, relaxed with GGA-PBE, using CuKα.
Kinematic intensities with the Lorentz-polarization factor, no thermal factor.

The 10 most intense peaks (10 to 90 degrees two-theta), sorted by position:
| d/Å | intensity |
| --- | --- |
| 3.147 | 82 |
| 2.745 | 100 |
| 2.578 | 62 |
| 2.482 | 85 |
| 2.018 | 67 |
| 2.011 | 27 |
| 1.886 | 35 |
| 1.699 | 27 |
| 1.589 | 28 |
| 1.424 | 36 |

Structure:
```
data_TbTeAuO
_chemical_formula_sum 'Tb4 Te4 Au4 O4'
_cell_length_a 10.055
_cell_length_b 5.707
_cell_length_c 5.707
_cell_angle_alpha 90.00
_cell_angle_beta 90.00
_cell_angle_gamma 90.00
_space_group_name_H-M_alt 'P 1'
_space_group_IT_number 1
loop_
_space_group_symop_operation_xyz
'x,y,z'
loop_
_atom_site_label
_atom_site_type_symbol
_atom_site_fract_x
_atom_site_fract_y
_atom_site_fract_z
_atom_site_occupancy
Tb1 Tb 0.108 0.000 0.250 1
Tb2 Tb 0.108 0.500 0.750 1
Tb3 Tb 0.892 0.000 0.750 1
Tb4 Tb 0.892 0.500 0.250 1
Te1 Te 0.286 0.001 0.750 1
Te2 Te 0.286 0.499 0.250 1
Te3 Te 0.714 0.501 0.750 1
Te4 Te 0.714 0.999 0.250 1
Au1 Au 0.499 0.750 0.000 1
Au2 Au 0.499 0.750 0.500 1
Au3 Au 0.501 0.250 0.000 1
Au4 Au 0.501 0.250 0.500 1
O1 O 0.000 0.250 0.000 1
O2 O 0.000 0.250 0.500 1
O3 O 0.000 0.750 0.000 1
O4 O 0.000 0.750 0.500 1
```

***

What did the first record say?
The following is a simulated powder diffraction line list of TlSnAu3O4. It was derived from a crystal structure in OQMD, relaxed with GGA-PBE, using CuKα.
Kinematic intensities with the Lorentz-polarization factor, no thermal factor.

The 10 most intense peaks (10 to 90 degrees two-theta), sorted by position:
| d/Å | intensity |
| --- | --- |
| 3.845 | 8 |
| 3.139 | 100 |
| 2.719 | 81 |
| 1.922 | 79 |
| 1.639 | 46 |
| 1.570 | 22 |
| 1.359 | 13 |
| 1.247 | 19 |
| 1.216 | 30 |
| 1.110 | 28 |

Structure:
```
data_TlSnAu3O4
_chemical_formula_sum 'Tl1 Sn1 Au3 O4'
_cell_length_a 5.437
_cell_length_b 5.437
_cell_length_c 5.437
_cell_angle_alpha 90.00
_cell_angle_beta 90.00
_cell_angle_gamma 90.00
_space_group_name_H-M_alt 'P 1'
_space_group_IT_number 1
loop_
_space_group_symop_operation_xyz
'x,y,z'
loop_
_atom_site_label
_atom_site_type_symbol
_atom_site_fract_x
_atom_site_fract_y
_atom_site_fract_z
_atom_site_occupancy
Tl1 Tl 0.000 0.000 0.000 1
Sn1 Sn 0.500 0.500 0.500 1
Au1 Au 0.000 0.500 0.500 1
Au2 Au 0.500 0.000 0.500 1
Au3 Au 0.500 0.500 0.000 1
O1 O 0.236 0.236 0.236 1
O2 O 0.236 0.764 0.764 1
O3 O 0.764 0.236 0.764 1
O4 O 0.764 0.764 0.236 1
```